Record 1
# TbSbO4
Simulated powder XRD pattern, Cu Kα X-rays. Input: the PBE geometry in the Materials Project.
Intensities are scaled so that the largest is 100.

Top 10 peaks for 10 to 90 degrees two-theta, low angle first:
- 2θ 23.4, I 18, (0 0 2)
- 2θ 28.2, I 78, (1 0 2)
- 2θ 29.0, I 100, (1 2 0)
- 2θ 29.2, I 65, (1 0 -2)
- 2θ 30.0, I 22, (-1 2 1)
- 2θ 30.7, I 19, (0 2 2)
- 2θ 33.1, I 36, (2 0 0)
- 2θ 36.3, I 20, (0 2 -2)
- 2θ 48.1, I 18, (0 4 1)
- 2θ 50.5, I 18, (2 2 -2)

Structure:
```
data_TbSbO4
_cell_length_a 5.4195
_cell_length_b 7.5941
_cell_length_c 7.6933
_cell_angle_alpha 80.82
_cell_angle_beta 88.01
_cell_angle_gamma 89.76
_space_group_name_H-M_alt 'P -1'
_space_group_IT_number 2
loop_
_space_group_symop_operation_xyz
'x,y,z'
'-x,-y,-z'
loop_
_atom_site_label
_atom_site_type_symbol
_atom_site_fract_x
_atom_site_fract_y
_atom_site_fract_z
_atom_site_occupancy
Tb1 Tb 0.2131 0.3920 0.3401 1
Tb2 Tb 0.2643 0.8887 0.3658 1
Sb1 Sb 0.2412 0.3033 0.8358 1
Sb2 Sb 0.2754 0.8070 0.8364 1
O1 O 0.0083 0.8801 0.6711 1
O2 O 0.0452 0.3228 0.6143 1
O3 O 0.0866 0.8067 0.0645 1
O4 O 0.1339 0.5597 0.8288 1
O5 O 0.3886 0.0586 0.8280 1
O6 O 0.4006 0.3023 0.0683 1
O7 O 0.4638 0.6254 0.3115 1
O8 O 0.4900 0.8240 0.6128 1
```

Record 2
# SnH10Cl4O5
Simulated powder XRD pattern, Cu Kα X-rays. Input: the PBE geometry in the Materials Project.
Intensities are scaled so that the largest is 100.

Top 10 peaks for 10 to 90 degrees two-theta, low angle first:
- 2θ 14.2, I 100, (1 1 -1)
- 2θ 14.6, I 68, (2 0 0)
- 2θ 16.5, I 91, (1 1 1)
- 2θ 17.6, I 45, (0 2 0)
- 2θ 22.9, I 24, (2 2 0)
- 2θ 30.1, I 49, (1 3 1)
- 2θ 32.0, I 31, (4 0 -2)
- 2θ 33.4, I 44, (2 2 2)
- 2θ 35.2, I 26, (3 1 -3)
- 2θ 46.0, I 21, (2 4 2)

Structure:
```
data_SnH10Cl4O5
_cell_length_a 12.4912
_cell_length_b 10.0952
_cell_length_c 8.7759
_cell_angle_alpha 90.00
_cell_angle_beta 103.35
_cell_angle_gamma 90.00
_space_group_name_H-M_alt 'C 1 2/c 1'
_space_group_IT_number 15
loop_
_space_group_symop_operation_xyz
'x,y,z'
'-x,-y,-z'
'-x,y,-z+1/2'
'x,-y,z+1/2'
'x+1/2,y+1/2,z'
'-x+1/2,-y+1/2,-z'
'-x+1/2,y+1/2,-z+1/2'
'x+1/2,-y+1/2,z+1/2'
loop_
_atom_site_label
_atom_site_type_symbol
_atom_site_fract_x
_atom_site_fract_y
_atom_site_fract_z
_atom_site_occupancy
Sn1 Sn 0.0000 0.2454 0.2500 1
H1 H 0.0247 0.3670 0.8401 1
H2 H 0.0967 0.1856 0.7214 1
H3 H 0.1123 0.0865 0.5020 1
H4 H 0.1149 0.0116 0.3296 1
H5 H 0.2185 0.1358 0.7394 1
Cl1 Cl 0.1120 0.4008 0.4294 1
Cl2 Cl 0.1389 0.2276 0.0981 1
O1 O 0.0000 0.3081 0.7500 1
O2 O 0.0797 0.0796 0.3864 1
O3 O 0.1416 0.1074 0.7034 1
```

Record 3
# RbAg3S2
Simulated powder XRD pattern, Cu Kα X-rays. Input: the PBE geometry in the Materials Project.
Intensities are scaled so that the largest is 100.

Top 10 peaks for 10 to 90 degrees two-theta, low angle first:
- 2θ 10.9, I 100, (0 0 1)
- 2θ 28.8, I 17, (1 1 -2)
- 2θ 29.9, I 14, (2 0 -3)
- 2θ 30.0, I 18, (3 1 -2)
- 2θ 32.3, I 82, (3 1 1)
- 2θ 35.8, I 41, (5 1 -2)
- 2θ 39.9, I 24, (3 1 2)
- 2θ 40.2, I 13, (5 1 -3)
- 2θ 41.6, I 30, (0 2 0)
- 2θ 45.7, I 16, (8 0 -1)

Structure:
```
data_RbAg3S2
_cell_length_a 16.2222
_cell_length_b 4.3441
_cell_length_c 8.9751
_cell_angle_alpha 90.00
_cell_angle_beta 114.74
_cell_angle_gamma 90.00
_space_group_name_H-M_alt 'C 1 2/m 1'
_space_group_IT_number 12
loop_
_space_group_symop_operation_xyz
'x,y,z'
'-x,-y,-z'
'-x,y,-z'
'x,-y,z'
'x+1/2,y+1/2,z'
'-x+1/2,-y+1/2,-z'
'-x+1/2,y+1/2,-z'
'x+1/2,-y+1/2,z'
loop_
_atom_site_label
_atom_site_type_symbol
_atom_site_fract_x
_atom_site_fract_y
_atom_site_fract_z
_atom_site_occupancy
Rb1 Rb 0.1345 0.0000 0.0445 1
Ag1 Ag 0.0573 0.0000 0.3998 1
Ag2 Ag 0.0984 0.5000 0.6536 1
Ag3 Ag 0.1874 0.5000 0.4168 1
S1 S 0.0175 0.5000 0.2253 1
S2 S 0.1968 0.0000 0.6970 1
```

Record 4
# DyCu2Si2
Simulated powder XRD pattern, Cu Kα X-rays. Input: the PBE geometry in the Materials Project.
Intensities are scaled so that the largest is 100.

Top 10 peaks for 10 to 90 degrees two-theta, low angle first:
- 2θ 24.1, I 43, (1 0 1)
- 2θ 35.2, I 46, (1 0 3)
- 2θ 36.0, I 17, (0 0 4)
- 2θ 36.7, I 100, (1 1 2)
- 2θ 45.6, I 37, (2 0 0)
- 2θ 51.3, I 18, (1 0 5)
- 2θ 58.9, I 21, (2 1 3)
- 2θ 59.5, I 15, (2 0 4)
- 2θ 65.2, I 15, (1 1 6)
- 2θ 78.4, I 21, (3 1 2)

Structure:
```
data_DyCu2Si2
_cell_length_a 3.9777
_cell_length_b 3.9777
_cell_length_c 9.9662
_cell_angle_alpha 90.00
_cell_angle_beta 90.00
_cell_angle_gamma 90.00
_space_group_name_H-M_alt 'I 4/m m m'
_space_group_IT_number 139
_space_group_name_Hall '-I 4 2'
loop_
_atom_site_label
_atom_site_type_symbol
_atom_site_fract_x
_atom_site_fract_y
_atom_site_fract_z
_atom_site_occupancy
Dy1 Dy 0.0000 0.0000 0.0000 1
Cu1 Cu 0.0000 0.5000 0.2500 1
Si1 Si 0.0000 0.0000 0.3819 1
```

Record 5
# ZnHg3S2Cl4
Simulated powder XRD pattern, Cu Kα X-rays. Input: the PBE geometry in the Materials Project.
Intensities are scaled so that the largest is 100.

Top 10 peaks for 10 to 90 degrees two-theta, low angle first:
- 2θ 14.6, I 89, (0 0 2)
- 2θ 20.1, I 73, (1 1 2)
- 2θ 27.7, I 80, (0 4 0)
- 2θ 29.4, I 21, (0 0 4)
- 2θ 31.5, I 100, (0 4 2)
- 2θ 39.9, I 25, (3 1 2)
- 2θ 40.9, I 78, (0 4 4)
- 2θ 49.0, I 31, (2 6 0)
- 2θ 51.4, I 29, (2 6 2)
- 2θ 53.5, I 20, (0 4 6)

Structure:
```
data_ZnHg3S2Cl4
_cell_length_a 7.4406
_cell_length_b 12.8594
_cell_length_c 12.1468
_cell_angle_alpha 90.00
_cell_angle_beta 90.00
_cell_angle_gamma 90.00
_space_group_name_H-M_alt 'C m c 21'
_space_group_IT_number 36
loop_
_space_group_symop_operation_xyz
'x,y,z'
'-x,-y,z+1/2'
'-x,y,z'
'x,-y,z+1/2'
'x+1/2,y+1/2,z'
'-x+1/2,-y+1/2,z+1/2'
'-x+1/2,y+1/2,z'
'x+1/2,-y+1/2,z+1/2'
loop_
_atom_site_label
_atom_site_type_symbol
_atom_site_fract_x
_atom_site_fract_y
_atom_site_fract_z
_atom_site_occupancy
Zn1 Zn 0.0000 0.0009 0.0000 1
Hg1 Hg 0.0000 0.4850 0.2563 1
Hg2 Hg 0.2253 0.2553 0.2558 1
S1 S 0.0000 0.0048 0.1815 1
S2 S 0.0000 0.3337 0.1344 1
Cl1 Cl 0.0000 0.1709 0.4254 1
Cl2 Cl 0.0000 0.3329 0.8373 1
Cl3 Cl 0.2434 0.4142 0.4225 1
```

Record 6
# LiCuOF
Simulated powder XRD pattern, Cu Kα X-rays. Input: the PBE geometry in the Materials Project.
Intensities are scaled so that the largest is 100.

Top 10 peaks for 10 to 90 degrees two-theta, low angle first:
- 2θ 17.8, I 100, (0 0 1)
- 2θ 32.0, I 57, (1 0 0)
- 2θ 36.0, I 56, (0 0 2)
- 2θ 36.9, I 25, (1 0 1)
- 2θ 45.9, I 53, (1 1 0)
- 2θ 48.9, I 33, (1 0 2)
- 2θ 49.6, I 26, (1 1 1)
- 2θ 59.7, I 43, (1 1 2)
- 2θ 67.0, I 14, (2 0 0)
- 2θ 78.5, I 17, (2 0 2)

Structure:
```
data_LiCuOF
_cell_length_a 2.7945
_cell_length_b 2.7945
_cell_length_c 4.9884
_cell_angle_alpha 90.00
_cell_angle_beta 90.00
_cell_angle_gamma 90.00
_space_group_name_H-M_alt 'P 4/m m m'
_space_group_IT_number 123
_space_group_name_Hall '-P 4 2'
loop_
_atom_site_label
_atom_site_type_symbol
_atom_site_fract_x
_atom_site_fract_y
_atom_site_fract_z
_atom_site_occupancy
Li1 Li 0.0000 0.0000 0.0000 1
Cu1 Cu 0.5000 0.5000 0.5000 1
O1 O 0.0000 0.0000 0.5000 1
F1 F 0.5000 0.5000 0.0000 1
```

Record 7
# Sc3SnC
Simulated powder XRD pattern, Cu Kα X-rays. Input: the PBE geometry in the Materials Project.
Intensities are scaled so that the largest is 100.

Top 10 peaks for 10 to 90 degrees two-theta, low angle first:
- 2θ 19.6, I 18, (1 0 0)
- 2θ 27.8, I 32, (1 1 0)
- 2θ 34.2, I 100, (1 1 1)
- 2θ 39.7, I 58, (2 0 0)
- 2θ 44.7, I 12, (2 1 0)
- 2θ 49.2, I 14, (2 1 1)
- 2θ 57.5, I 37, (2 2 0)
- 2θ 68.6, I 38, (3 1 1)
- 2θ 72.1, I 12, (2 2 2)
- 2θ 79.0, I 8, (3 2 1)

Structure:
```
data_Sc3SnC
_cell_length_a 4.5361
_cell_length_b 4.5361
_cell_length_c 4.5361
_cell_angle_alpha 90.00
_cell_angle_beta 90.00
_cell_angle_gamma 90.00
_space_group_name_H-M_alt 'P m -3 m'
_space_group_IT_number 221
_space_group_name_Hall '-P 4 2 3'
loop_
_atom_site_label
_atom_site_type_symbol
_atom_site_fract_x
_atom_site_fract_y
_atom_site_fract_z
_atom_site_occupancy
Sc1 Sc 0.0000 0.0000 0.5000 1
Sn1 Sn 0.5000 0.5000 0.5000 1
C1 C 0.0000 0.0000 0.0000 1
```